[1]
Structure and simulated PXRD pattern of La2Ti3O9 (a cell relaxed with PBE; copper Kα).
Neutral-atom scattering factors, no anomalous dispersion.

Cell and atoms:
Unit cell a=7.0063 b=7.0063 c=10.8628 alpha=90.00 beta=90.00 gamma=120.00
Space group P6_3/m (No. 176)
Unique sites:
1 La 0.3333 0.6667 0.0341 x4
2 Ti 0.0653 0.3027 0.7500 x6
3 O 0.0559 0.4377 0.6100 x12
4 O 0.0631 0.2750 0.2500 x6

Peak list (10 most intense, 5 to 70 degrees two-theta, sorted by position)
hkl, two_theta, I (rel.)
1 0 0, 14.6, 36
1 0 2, 22.0, 74
1 1 0, 25.4, 21
1 1 1, 26.7, 15
1 0 3, 28.7, 22
1 1 2, 30.4, 100
2 1 0, 39.3, 18
3 0 0, 44.8, 34
2 1 3, 46.9, 22
1 3 2, 57.3, 20

***

[2]
Structure and simulated PXRD pattern of SbPtW2 (a cell relaxed with PBE; copper Kα).
Neutral-atom scattering factors, no anomalous dispersion.

Cell and atoms:
Unit cell a=3.561 b=4.573 c=8.914 alpha=90.00 beta=90.00 gamma=90.00
Space group Cmm2 (No. 35)
Unique sites:
1 Sb 0.000 0.000 0.000 x2
2 Pt 0.000 0.500 0.287 x2
3 W 0.000 0.000 0.508 x2
4 W 0.000 0.500 0.735 x2

Peak list (10 most intense, 5 to 70 degrees two-theta, sorted by position)
hkl, two_theta, I (rel.)
0 0 1, 9.9, 19
1 1 2, 37.9, 100
0 2 0, 39.4, 24
0 0 4, 40.5, 17
1 1 3, 44.4, 9
2 0 0, 51.3, 14
0 2 4, 57.8, 12
1 1 5, 61.6, 2
2 2 0, 66.6, 13
2 0 4, 67.3, 8